No. 1
For PrY2Al6, a structure optimized by DFT (PBE) gives the simulated powder diffraction line list in this record (Cu Kα (weighted mean of Kα1 and Kα2)).
Lines closer than 0.1° are merged.

Cell and atoms:
```
data_PrY2Al6
_chemical_formula_sum 'Pr1 Y2 Al6'
_cell_length_a 7.9508
_cell_length_b 7.9508
_cell_length_c 3.5811
_cell_angle_alpha 90.00
_cell_angle_beta 90.00
_cell_angle_gamma 120.00
_space_group_name_H-M_alt 'P 6/m m m'
_space_group_IT_number 191
_space_group_name_Hall '-P 6 2'
loop_
_atom_site_label
_atom_site_type_symbol
_atom_site_fract_x
_atom_site_fract_y
_atom_site_fract_z
_atom_site_occupancy
Pr1 Pr 0.0000 0.0000 0.0000 1
Y1 Y 0.3333 0.6667 0.0000 1
Al1 Al 0.0000 0.3357 0.5000 1
```

Main lines, by angle (2θ = 10–90°):
| two_theta | I/Imax |
| --- | --- |
| 22.4 | 51 |
| 33.7 | 100 |
| 39.3 | 47 |
| 45.6 | 8 |
| 51.0 | 7 |
| 52.7 | 27 |
| 56.4 | 8 |
| 66.2 | 20 |
| 67.6 | 25 |
| 71.1 | 8 |

---

No. 2
For Tl2CdPbO4, a structure optimized by DFT (PBE) gives the simulated powder diffraction line list in this record (Cu Kα (weighted mean of Kα1 and Kα2)).
Lines closer than 0.1° are merged.

Cell and atoms:
```
data_Tl2CdPbO4
_chemical_formula_sum 'Tl2 Cd1 Pb1 O4'
_cell_length_a 5.954
_cell_length_b 5.975
_cell_length_c 6.294
_cell_angle_alpha 117.37
_cell_angle_beta 117.61
_cell_angle_gamma 91.48
_space_group_name_H-M_alt 'P 1'
_space_group_IT_number 1
loop_
_space_group_symop_operation_xyz
'x,y,z'
loop_
_atom_site_label
_atom_site_type_symbol
_atom_site_fract_x
_atom_site_fract_y
_atom_site_fract_z
_atom_site_occupancy
Tl1 Tl 0.000 0.000 0.000 1
Tl2 Tl 0.250 0.750 0.498 1
Cd1 Cd 0.503 0.504 0.006 1
Pb1 Pb 0.754 0.254 0.507 1
O1 O 0.119 0.555 0.753 1
O2 O 0.453 0.362 0.258 1
O3 O 0.644 0.207 0.762 1
O4 O 0.808 0.898 0.266 1
```

Main lines, by angle (2θ = 10–90°):
| two_theta | I/Imax |
| --- | --- |
| 28.1 | 51 |
| 28.2 | 51 |
| 28.6 | 100 |
| 29.9 | 37 |
| 30.0 | 37 |
| 38.1 | 19 |
| 42.3 | 19 |
| 49.1 | 25 |
| 49.3 | 25 |
| 51.9 | 19 |

---

No. 3
For Sr4TbS5, a structure optimized by DFT (PBE) gives the simulated powder diffraction line list in this record (Cu Kα (weighted mean of Kα1 and Kα2)).
Lines closer than 0.1° are merged.

Cell and atoms:
```
data_Sr4TbS5
_chemical_formula_sum 'Sr8 Tb2 S10'
_cell_length_a 9.385
_cell_length_b 9.385
_cell_length_c 5.935
_cell_angle_alpha 90.00
_cell_angle_beta 90.00
_cell_angle_gamma 90.00
_space_group_name_H-M_alt 'I 4/m'
_space_group_IT_number 87
_space_group_name_Hall '-I 4'
loop_
_atom_site_label
_atom_site_type_symbol
_atom_site_fract_x
_atom_site_fract_y
_atom_site_fract_z
_atom_site_occupancy
Sr1 Sr 0.097 0.300 0.000 1
Tb1 Tb 0.000 0.000 0.500 1
S1 S 0.000 0.000 0.000 1
S2 S 0.095 0.286 0.500 1
```

Main lines, by angle (2θ = 10–90°):
| two_theta | I/Imax |
| --- | --- |
| 26.0 | 50 |
| 30.1 | 100 |
| 43.1 | 72 |
| 51.0 | 26 |
| 53.5 | 25 |
| 62.6 | 12 |
| 69.0 | 11 |
| 71.0 | 32 |
| 79.0 | 24 |
| 84.9 | 9 |

---

No. 4
For HoFe4Sb12, a structure optimized by DFT (PBE) gives the simulated powder diffraction line list in this record (Cu Kα (weighted mean of Kα1 and Kα2)).
Lines closer than 0.1° are merged.

Cell and atoms:
```
data_HoFe4Sb12
_chemical_formula_sum 'Ho2 Fe8 Sb24'
_cell_length_a 9.163
_cell_length_b 9.163
_cell_length_c 9.163
_cell_angle_alpha 90.00
_cell_angle_beta 90.00
_cell_angle_gamma 90.00
_space_group_name_H-M_alt 'I m -3'
_space_group_IT_number 204
_space_group_name_Hall '-I 2 2 3'
loop_
_atom_site_label
_atom_site_type_symbol
_atom_site_fract_x
_atom_site_fract_y
_atom_site_fract_z
_atom_site_occupancy
Ho1 Ho 0.000 0.000 0.000 1
Fe1 Fe 0.250 0.250 0.250 1
Sb1 Sb 0.000 0.333 0.162 1
```

Main lines, by angle (2θ = 10–90°):
| two_theta | I/Imax |
| --- | --- |
| 30.9 | 100 |
| 36.7 | 53 |
| 44.2 | 10 |
| 48.7 | 23 |
| 50.8 | 22 |
| 58.8 | 18 |
| 60.6 | 12 |
| 62.5 | 9 |
| 69.6 | 18 |
| 89.5 | 9 |

---

No. 5
For BaGaPb4, a structure optimized by DFT (PBE) gives the simulated powder diffraction line list in this record (Cu Kα (weighted mean of Kα1 and Kα2)).
Lines closer than 0.1° are merged.

Cell and atoms:
```
data_BaGaPb4
_chemical_formula_sum 'Ba4 Ga4 Pb16'
_cell_length_a 9.335
_cell_length_b 9.335
_cell_length_c 9.335
_cell_angle_alpha 90.00
_cell_angle_beta 90.00
_cell_angle_gamma 90.00
_space_group_name_H-M_alt 'F -4 3 m'
_space_group_IT_number 216
_space_group_name_Hall 'F -4 2 3'
loop_
_atom_site_label
_atom_site_type_symbol
_atom_site_fract_x
_atom_site_fract_y
_atom_site_fract_z
_atom_site_occupancy
Ba1 Ba 0.000 0.000 0.000 1
Ga1 Ga 0.250 0.250 0.750 1
Pb1 Pb 0.125 0.125 0.375 1
```

Main lines, by angle (2θ = 10–90°):
| two_theta | I/Imax |
| --- | --- |
| 16.4 | 36 |
| 31.8 | 100 |
| 33.2 | 65 |
| 38.6 | 18 |
| 42.2 | 11 |
| 50.8 | 36 |
| 55.7 | 35 |
| 65.6 | 13 |
| 66.4 | 28 |
| 78.7 | 23 |

---

No. 6
For Fe2IrRh, a structure optimized by DFT (PBE) gives the simulated powder diffraction line list in this record (Cu Kα (weighted mean of Kα1 and Kα2)).
Lines closer than 0.1° are merged.

Cell and atoms:
```
data_Fe2IrRh
_chemical_formula_sum 'Fe4 Ir2 Rh2'
_cell_length_a 8.802
_cell_length_b 2.699
_cell_length_c 4.526
_cell_angle_alpha 90.00
_cell_angle_beta 101.02
_cell_angle_gamma 90.00
_space_group_name_H-M_alt 'C 1 m 1'
_space_group_IT_number 8
loop_
_space_group_symop_operation_xyz
'x,y,z'
'x,-y,z'
'x+1/2,y+1/2,z'
'x+1/2,-y+1/2,z'
loop_
_atom_site_label
_atom_site_type_symbol
_atom_site_fract_x
_atom_site_fract_y
_atom_site_fract_z
_atom_site_occupancy
Fe1 Fe 0.000 0.000 0.000 1
Fe2 Fe 0.249 0.500 0.258 1
Ir1 Ir 0.251 0.000 0.764 1
Rh1 Rh 0.000 0.500 0.497 1
```

Main lines, by angle (2θ = 10–90°):
| two_theta | I/Imax |
| --- | --- |
| 20.0 | 32 |
| 25.9 | 21 |
| 34.8 | 18 |
| 41.5 | 100 |
| 41.8 | 49 |
| 42.0 | 48 |
| 48.0 | 65 |
| 49.6 | 29 |
| 71.4 | 19 |
| 71.7 | 19 |

---

No. 7
For HfSi2Se6, a structure optimized by DFT (PBE) gives the simulated powder diffraction line list in this record (Cu Kα (weighted mean of Kα1 and Kα2)).
Lines closer than 0.1° are merged.

Cell and atoms:
```
data_HfSi2Se6
_chemical_formula_sum 'Hf3 Si6 Se18'
_cell_length_a 6.5464
_cell_length_b 6.5464
_cell_length_c 21.1251
_cell_angle_alpha 90.00
_cell_angle_beta 90.00
_cell_angle_gamma 120.00
_space_group_name_H-M_alt 'R 3'
_space_group_IT_number 146
_space_group_name_Hall 'R 3'
loop_
_atom_site_label
_atom_site_type_symbol
_atom_site_fract_x
_atom_site_fract_y
_atom_site_fract_z
_atom_site_occupancy
Hf1 Hf 0.0000 0.0000 0.0000 1
Si1 Si 0.0000 0.0000 0.2738 1
Si2 Si 0.0000 0.0000 0.3925 1
Se1 Se 0.0079 0.3182 0.0816 1
Se2 Se 0.0093 0.6916 0.9177 1
```

Main lines, by angle (2θ = 10–90°):
| two_theta | I/Imax |
| --- | --- |
| 12.6 | 29 |
| 16.2 | 38 |
| 17.8 | 27 |
| 25.3 | 15 |
| 30.1 | 100 |
| 37.5 | 43 |
| 47.7 | 31 |
| 48.2 | 31 |
| 57.8 | 14 |
| 73.5 | 14 |

---

No. 8
For KBe2NiBr, a structure optimized by DFT (PBE) gives the simulated powder diffraction line list in this record (Cu Kα (weighted mean of Kα1 and Kα2)).
Lines closer than 0.1° are merged.

Cell and atoms:
```
data_KBe2NiBr
_chemical_formula_sum 'K1 Be2 Ni1 Br1'
_cell_length_a 4.668
_cell_length_b 4.668
_cell_length_c 5.694
_cell_angle_alpha 90.00
_cell_angle_beta 90.00
_cell_angle_gamma 90.00
_space_group_name_H-M_alt 'P 4/m m m'
_space_group_IT_number 123
_space_group_name_Hall '-P 4 2'
loop_
_atom_site_label
_atom_site_type_symbol
_atom_site_fract_x
_atom_site_fract_y
_atom_site_fract_z
_atom_site_occupancy
K1 K 0.000 0.000 0.000 1
Be1 Be 0.000 0.500 0.500 1
Ni1 Ni 0.500 0.500 0.000 1
Br1 Br 0.000 0.000 0.500 1
```

Main lines, by angle (2θ = 10–90°):
| two_theta | I/Imax |
| --- | --- |
| 19.0 | 27 |
| 24.7 | 91 |
| 27.0 | 100 |
| 31.4 | 50 |
| 38.6 | 49 |
| 41.9 | 59 |
| 46.3 | 34 |
| 50.6 | 43 |
| 65.4 | 20 |
| 72.1 | 21 |

---

No. 9
For Sb2O3, a structure optimized by DFT (PBE) gives the simulated powder diffraction line list in this record (Cu Kα (weighted mean of Kα1 and Kα2)).
Lines closer than 0.1° are merged.

Cell and atoms:
```
data_Sb2O3
_chemical_formula_sum 'Sb8 O12'
_cell_length_a 5.196
_cell_length_b 12.606
_cell_length_c 5.513
_cell_angle_alpha 90.00
_cell_angle_beta 90.00
_cell_angle_gamma 90.00
_space_group_name_H-M_alt 'P c c n'
_space_group_IT_number 56
loop_
_space_group_symop_operation_xyz
'x,y,z'
'-x,-y,-z'
'-x+1/2,-y+1/2,z'
'x+1/2,y+1/2,-z'
'x+1/2,-y,-z+1/2'
'-x+1/2,y,z+1/2'
'-x,y+1/2,-z+1/2'
'x,-y+1/2,z+1/2'
loop_
_atom_site_label
_atom_site_type_symbol
_atom_site_fract_x
_atom_site_fract_y
_atom_site_fract_z
_atom_site_occupancy
Sb1 Sb 0.053 0.127 0.177 1
O1 O 0.150 0.058 0.854 1
O2 O 0.250 0.250 0.016 1
```

Main lines, by angle (2θ = 10–90°):
| two_theta | I/Imax |
| --- | --- |
| 18.5 | 26 |
| 24.6 | 24 |
| 27.5 | 100 |
| 28.3 | 30 |
| 33.3 | 13 |
| 45.2 | 14 |
| 49.6 | 24 |
| 53.4 | 15 |
| 57.5 | 12 |
| 65.3 | 11 |

---

No. 10
For ErZnSi2Ni4, a structure optimized by DFT (PBE) gives the simulated powder diffraction line list in this record (Cu Kα (weighted mean of Kα1 and Kα2)).
Lines closer than 0.1° are merged.

Cell and atoms:
```
data_ErZnSi2Ni4
_chemical_formula_sum 'Er3 Zn3 Si6 Ni12'
_cell_length_a 3.9328
_cell_length_b 3.9328
_cell_length_c 24.5937
_cell_angle_alpha 90.00
_cell_angle_beta 90.00
_cell_angle_gamma 120.00
_space_group_name_H-M_alt 'R -3 m'
_space_group_IT_number 166
_space_group_name_Hall '-R 3 2"'
loop_
_atom_site_label
_atom_site_type_symbol
_atom_site_fract_x
_atom_site_fract_y
_atom_site_fract_z
_atom_site_occupancy
Er1 Er 0.0000 0.0000 0.0000 1
Zn1 Zn 0.0000 0.0000 0.5000 1
Si1 Si 0.0000 0.0000 0.2436 1
Ni1 Ni 0.0000 0.0000 0.1288 1
Ni2 Ni 0.0000 0.0000 0.4050 1
```

Main lines, by angle (2θ = 10–90°):
| two_theta | I/Imax |
| --- | --- |
| 27.2 | 68 |
| 32.0 | 22 |
| 36.8 | 40 |
| 39.5 | 94 |
| 45.5 | 27 |
| 46.2 | 100 |
| 62.3 | 23 |
| 66.8 | 16 |
| 81.0 | 22 |
| 85.5 | 16 |

---

No. 11
For HoFe5Si2, a structure optimized by DFT (PBE) gives the simulated powder diffraction line list in this record (Cu Kα (weighted mean of Kα1 and Kα2)).
Lines closer than 0.1° are merged.

Cell and atoms:
```
data_HoFe5Si2
_chemical_formula_sum 'Ho2 Fe10 Si4'
_cell_length_a 3.411
_cell_length_b 6.959
_cell_length_c 9.306
_cell_angle_alpha 90.00
_cell_angle_beta 90.00
_cell_angle_gamma 90.00
_space_group_name_H-M_alt 'I m m m'
_space_group_IT_number 71
_space_group_name_Hall '-I 2 2'
loop_
_atom_site_label
_atom_site_type_symbol
_atom_site_fract_x
_atom_site_fract_y
_atom_site_fract_z
_atom_site_occupancy
Ho1 Ho 0.000 0.000 0.000 1
Fe1 Fe 0.000 0.187 0.351 1
Fe2 Fe 0.000 0.500 0.000 1
Si1 Si 0.000 0.500 0.255 1
```

Main lines, by angle (2θ = 10–90°):
| two_theta | I/Imax |
| --- | --- |
| 31.6 | 28 |
| 32.1 | 36 |
| 35.1 | 22 |
| 38.2 | 100 |
| 39.3 | 92 |
| 40.1 | 24 |
| 47.0 | 46 |
| 53.7 | 23 |
| 62.8 | 21 |
| 74.1 | 22 |

---

No. 12
For Pr3Cd2Pd7, a structure optimized by DFT (PBE) gives the simulated powder diffraction line list in this record (Cu Kα (weighted mean of Kα1 and Kα2)).
Lines closer than 0.1° are merged.

Cell and atoms:
```
data_Pr3Cd2Pd7
_chemical_formula_sum 'Pr6 Cd4 Pd14'
_cell_length_a 4.254
_cell_length_b 29.485
_cell_length_c 4.116
_cell_angle_alpha 90.00
_cell_angle_beta 90.00
_cell_angle_gamma 90.00
_space_group_name_H-M_alt 'C m m m'
_space_group_IT_number 65
_space_group_name_Hall '-C 2 2'
loop_
_atom_site_label
_atom_site_type_symbol
_atom_site_fract_x
_atom_site_fract_y
_atom_site_fract_z
_atom_site_occupancy
Pr1 Pr 0.000 0.000 0.000 1
Pr2 Pr 0.000 0.311 0.500 1
Cd1 Cd 0.000 0.131 0.000 1
Pd1 Pd 0.000 0.071 0.500 1
Pd2 Pd 0.000 0.222 0.000 1
Pd3 Pd 0.000 0.428 0.000 1
Pd4 Pd 0.000 0.500 0.500 1
```

Main lines, by angle (2θ = 10–90°):
| two_theta | I/Imax |
| --- | --- |
| 31.6 | 27 |
| 32.6 | 27 |
| 33.9 | 100 |
| 37.1 | 35 |
| 39.7 | 20 |
| 41.1 | 46 |
| 42.5 | 39 |
| 42.9 | 14 |
| 44.0 | 35 |
| 62.8 | 24 |